Entry 1:
Starting from a PBE-relaxed structure, the powder diffractogram of LiCa2NiN2 was computed for Cu Kα X-rays.

Principal peaks in the range 2θ from 15° to 90°, by intensity:
(hkl), d [Å], 2θ/deg, I_rel
0 1 2, 2.548, 35.22, 100
1 0 2, 2.428, 37.03, 86
0 1 1, 3.386, 26.32, 75
1 1 0, 2.620, 34.22, 74
1 2 2, 1.526, 60.70, 36
2 1 2, 1.448, 64.31, 30

Atomic structure:
a = 3.521 Å, b = 3.922 Å, c = 6.705 Å
α = 90.00°, β = 90.00°, γ = 90.00°
Space group Pmmm (No. 47)
Symmetry-distinct sites (fractional):
1 Li 0.000 0.000 0.000 (multiplicity 1)
2 Ca 0.500 0.500 0.248 (multiplicity 2)
3 Ni 0.000 0.000 0.500 (multiplicity 1)
4 N 0.000 0.500 0.000 (multiplicity 1)
5 N 0.500 0.000 0.500 (multiplicity 1)

Entry 2:
Starting from a PBE-relaxed structure, the powder diffractogram of RbInSn2Pb was computed for Cu Kα X-rays.

Principal peaks in the range 2θ from 15° to 90°, by intensity:
(hkl), d [Å], 2θ/deg, I_rel
1 1 2, 3.233, 27.59, 100
2 0 0, 2.721, 32.91, 81
1 1 4, 2.356, 38.19, 59
1 0 3, 3.210, 27.80, 43
0 0 8, 1.490, 62.30, 35
2 2 0, 1.924, 47.24, 30

Atomic structure:
a = 5.443 Å, b = 5.443 Å, c = 11.922 Å
α = 90.00°, β = 90.00°, γ = 90.00°
Space group I-4m2 (No. 119)
Symmetry-distinct sites (fractional):
1 Rb 0.000 0.000 0.000 (multiplicity 2)
2 In 0.000 0.500 0.750 (multiplicity 2)
3 Sn 0.000 0.000 0.375 (multiplicity 4)
4 Pb 0.000 0.500 0.250 (multiplicity 2)

Entry 3:
Starting from a PBE-relaxed structure, the powder diffractogram of Si3NiPt12Pb2 was computed for Cu Kα X-rays.

Principal peaks in the range 2θ from 15° to 90°, by intensity:
(hkl), d [Å], 2θ/deg, I_rel
0 2 4, 2.778, 32.22, 100
2 2 0, 2.011, 45.08, 50
2 0 8, 1.920, 47.34, 43
4 0 4, 1.629, 56.49, 21
2 4 4, 1.266, 75.03, 18
4 2 8, 1.143, 84.84, 17

Atomic structure:
a = 8.0448 Å, b = 8.0448 Å, c = 18.4145 Å
α = 90.00°, β = 90.00°, γ = 120.00°
Space group R-3m (No. 166, hexagonal axes)
Symmetry-distinct sites (fractional):
1 Si 0.0000 0.5000 0.0000 (multiplicity 9)
2 Ni 0.0000 0.0000 0.5000 (multiplicity 3)
3 Pt 0.0025 0.5013 0.8726 (multiplicity 18)
4 Pt 0.0144 0.5072 0.3723 (multiplicity 18)
5 Pb 0.0000 0.0000 0.1192 (multiplicity 6)